# 1
This entry pairs a crystal structure of Ge7Ir3 with its theoretical PXRD pattern. Radiation: Cu Ka. Structure: a structure optimized by DFT (GGA-PBE).

The 12 most intense peaks (2θ from 10° to 90°), sorted by position:
- (2 0 0), 20.2 deg, rel. 17
- (2 1 1), 24.8 deg, rel. 53
- (2 2 2), 35.3 deg, rel. 31
- (3 2 1), 38.3 deg, rel. 14
- (4 0 0), 41.0 deg, rel. 7
- (3 3 0), 43.6 deg, rel. 100
- (3 3 2), 48.5 deg, rel. 7
- (4 2 2), 50.8 deg, rel. 20
- (5 2 1), 57.4 deg, rel. 8
- (6 0 0), 63.4 deg, rel. 20
- (5 4 1), 69.2 deg, rel. 16
- (6 3 3), 80.2 deg, rel. 36

```
data_Ge7Ir3
_space_group_name_H-M_alt 'I m -3 m'
_space_group_IT_number 229
_space_group_name_Hall '-I 4 2 3'
_cell_length_a 8.7978
_cell_length_b 8.7978
_cell_length_c 8.7978
_cell_angle_alpha 90.00
_cell_angle_beta 90.00
_cell_angle_gamma 90.00
loop_
_atom_site_label
_atom_site_type_symbol
_atom_site_fract_x
_atom_site_fract_y
_atom_site_fract_z
Ge1 Ge 0.0000 0.2500 0.5000
Ge2 Ge 0.1673 0.1673 0.1673
Ir1 Ir 0.0000 0.0000 0.3397
```

# 2
This entry pairs a crystal structure of ScAlCo with its theoretical PXRD pattern. Radiation: Cu Ka. Structure: a structure optimized by DFT (GGA-PBE).

The 12 most intense peaks (2θ from 10° to 90°), sorted by position:
- (1 0 0), 10.9 deg, rel. 57
- (2 0 0), 21.8 deg, rel. 21
- (3 1 1), 38.8 deg, rel. 78
- (3 0 2), 39.0 deg, rel. 21
- (2 2 0), 41.2 deg, rel. 27
- (2 1 3), 41.7 deg, rel. 88
- (1 2 2), 41.9 deg, rel. 100
- (1 0 4), 42.5 deg, rel. 45
- (4 0 0), 44.5 deg, rel. 26
- (2 3 3), 66.8 deg, rel. 21
- (5 2 2), 71.7 deg, rel. 26
- (0 2 6), 74.1 deg, rel. 21

```
data_ScAlCo
_space_group_name_H-M_alt 'A m m 2'
_space_group_IT_number 38
_cell_length_a 8.1445
_cell_length_b 5.1965
_cell_length_c 8.8172
_cell_angle_alpha 90.00
_cell_angle_beta 90.00
_cell_angle_gamma 90.00
loop_
_space_group_symop_operation_xyz
'x,y,z'
'-x,-y,z'
'-x,y,z'
'x,-y,z'
'x,y+1/2,z+1/2'
'-x,-y+1/2,z+1/2'
'-x,y+1/2,z+1/2'
'x,-y+1/2,z+1/2'
loop_
_atom_site_label
_atom_site_type_symbol
_atom_site_fract_x
_atom_site_fract_y
_atom_site_fract_z
Sc1 Sc 0.1734 0.0000 0.0000
Sc2 Sc 0.2950 0.0000 0.3374
Al1 Al 0.2305 0.0000 0.6770
Al2 Al 0.5000 0.2454 0.0821
Co1 Co 0.0000 0.0000 0.4968
Co2 Co 0.0000 0.2326 0.2615
Co3 Co 0.5000 0.0000 0.8364
```

# 3
This entry pairs a crystal structure of Ti4Cr with its theoretical PXRD pattern. Radiation: Cu Ka. Structure: a structure optimized by DFT (GGA-PBE).

The 12 most intense peaks (2θ from 10° to 90°), sorted by position:
- (2 2 0), 28.3 deg, rel. 35
- (3 1 1), 33.3 deg, rel. 8
- (2 2 2), 34.8 deg, rel. 100
- (4 0 0), 40.4 deg, rel. 21
- (3 3 1), 44.2 deg, rel. 35
- (5 1 1), 53.3 deg, rel. 31
- (4 4 0), 58.5 deg, rel. 40
- (6 2 2), 69.9 deg, rel. 21
- (7 1 1), 76.2 deg, rel. 9
- (6 4 2), 80.5 deg, rel. 8
- (5 5 3), 83.1 deg, rel. 6
- (7 3 3), 90.0 deg, rel. 11

Unit cell a=8.9249 b=8.9249 c=8.9249 alpha=90.00 beta=90.00 gamma=90.00
Space group Fd-3m (No. 227, origin choice 2)
One atom of each set of equivalent atoms:
1 Ti 0.0179 0.0179 0.2321 (multiplicity 32)
2 Cr 0.1250 0.1250 0.6250 (multiplicity 8)

Question: What is the formula in the third record?
Answer: Ti4Cr